1.
The following is a theoretical powder diffractogram of TlTe2OsAuS. It was derived from a crystal structure in OQMD, relaxed with GGA-PBE, using copper Kα.

Crystal structure
```
data_TlTe2OsAuS
_cell_length_a 4.2090
_cell_length_b 18.1223
_cell_length_c 8.9860
_cell_angle_alpha 90.00
_cell_angle_beta 90.00
_cell_angle_gamma 90.00
_symmetry_space_group_name_H-M 'C m c m'
_symmetry_Int_Tables_number 63
_symmetry_space_group_name_Hall '-C 2c 2'
loop_
_atom_site_label
_atom_site_fract_x
_atom_site_fract_y
_atom_site_fract_z
_atom_site_occupancy
Tl1 0.0000 0.2418 0.2500 1
Te1 0.0000 0.0995 0.0286 1
Os1 0.0000 0.5000 0.0000 1
Au1 0.0000 0.1456 0.7500 1
S1 0.0000 0.4922 0.2500 1
```

Most intense lines, 15° ≤ 2θ ≤ 90°, by angle:
| 2θ/deg | intensity | h k l |
| --- | --- | --- |
| 22.08 | 100 | 0 2 2 |
| 25.80 | 79 | 1 3 0 |
| 27.67 | 26 | 1 3 1 |
| 32.60 | 33 | 1 5 0 |
| 34.14 | 48 | 1 5 1 |
| 38.41 | 37 | 1 5 2 |
| 39.82 | 46 | 0 8 0 |
| 40.14 | 31 | 0 0 4 |
| 42.98 | 30 | 2 0 0 |
| 48.33 | 27 | 1 3 4 |

---

2.
The following is a theoretical powder diffractogram of Ta28W. It was derived from a crystal structure in OQMD, relaxed with GGA-PBE, using copper Kα.

Crystal structure
```
data_Ta28W
_cell_length_a 10.2569
_cell_length_b 10.2569
_cell_length_c 10.2569
_cell_angle_alpha 90.00
_cell_angle_beta 90.00
_cell_angle_gamma 90.00
_symmetry_space_group_name_H-M 'I -4 3 m'
_symmetry_Int_Tables_number 217
_symmetry_space_group_name_Hall 'I -4 2 3'
loop_
_atom_site_label
_atom_site_fract_x
_atom_site_fract_y
_atom_site_fract_z
_atom_site_occupancy
Ta1 0.0374 0.3595 0.6405 1
Ta2 0.0912 0.0912 0.7219 1
Ta3 0.1876 0.1876 0.1876 1
W1 0.0000 0.0000 0.0000 1
```

Most intense lines, 15° ≤ 2θ ≤ 90°, by angle:
| 2θ/deg | intensity | h k l |
| --- | --- | --- |
| 37.19 | 100 | 4 1 1 |
| 41.29 | 28 | 3 3 2 |
| 43.21 | 10 | 4 2 2 |
| 45.07 | 13 | 4 3 1 |
| 62.76 | 6 | 4 4 4 |
| 64.21 | 9 | 5 5 0 |
| 67.05 | 28 | 7 2 1 |
| 68.45 | 4 | 6 4 2 |
| 72.57 | 5 | 6 5 1 |
| 79.25 | 10 | 6 6 0 |

---

3.
The following is a theoretical powder diffractogram of LiScZn2Cu4. It was derived from a crystal structure in OQMD, relaxed with GGA-PBE, using copper Kα.

Crystal structure
```
data_LiScZn2Cu4
_cell_length_a 4.2449
_cell_length_b 4.2449
_cell_length_c 5.9702
_cell_angle_alpha 90.00
_cell_angle_beta 90.00
_cell_angle_gamma 90.00
_symmetry_space_group_name_H-M 'P 4/m m m'
_symmetry_Int_Tables_number 123
_symmetry_space_group_name_Hall '-P 4 2'
loop_
_atom_site_label
_atom_site_fract_x
_atom_site_fract_y
_atom_site_fract_z
_atom_site_occupancy
Li1 0.0000 0.0000 0.0000 1
Sc1 0.5000 0.5000 0.5000 1
Zn1 0.0000 0.0000 0.5000 1
Zn2 0.5000 0.5000 0.0000 1
Cu1 0.0000 0.5000 0.2284 1
```

Most intense lines, 15° ≤ 2θ ≤ 90°, by angle:
| 2θ/deg | intensity | h k l |
| --- | --- | --- |
| 25.75 | 16 | 1 0 1 |
| 29.76 | 5 | 1 1 0 |
| 33.41 | 6 | 1 1 1 |
| 42.60 | 53 | 2 0 0 |
| 42.72 | 100 | 1 1 2 |
| 50.44 | 5 | 2 1 1 |
| 61.82 | 16 | 2 2 0 |
| 62.20 | 7 | 0 0 4 |
| 78.06 | 30 | 3 1 2 |
| 78.31 | 13 | 2 0 4 |

---

4.
The following is a theoretical powder diffractogram of KBe2Cd2P3. It was derived from a crystal structure in OQMD, relaxed with GGA-PBE, using copper Kα.

Crystal structure
```
data_KBe2Cd2P3
_cell_length_a 3.8126
_cell_length_b 3.8126
_cell_length_c 38.8376
_cell_angle_alpha 90.00
_cell_angle_beta 90.00
_cell_angle_gamma 120.00
_symmetry_space_group_name_H-M 'R -3 m'
_symmetry_Int_Tables_number 166
_symmetry_space_group_name_Hall '-R 3 2"'
loop_
_atom_site_label
_atom_site_fract_x
_atom_site_fract_y
_atom_site_fract_z
_atom_site_occupancy
K1 0.0000 0.0000 0.0000 1
Be1 0.0000 0.0000 0.4005 1
Cd1 0.0000 0.0000 0.2035 1
P1 0.0000 0.0000 0.2700 1
P2 0.0000 0.0000 0.5000 1
```

Most intense lines, 15° ≤ 2θ ≤ 90°, by angle:
| 2θ/deg | intensity | h k l |
| --- | --- | --- |
| 27.40 | 75 | 0 1 2 |
| 28.55 | 95 | 1 0 4 |
| 29.39 | 93 | 0 1 5 |
| 31.53 | 34 | 1 0 7 |
| 34.64 | 39 | 0 0 15 |
| 35.69 | 100 | 1 0 10 |
| 42.56 | 31 | 0 1 14 |
| 47.71 | 70 | 1 1 0 |
| 48.45 | 33 | 0 1 17 |
| 60.29 | 43 | 1 1 15 |